Diffraction record for K3MnPCO7. The XRD peak list is simulated, not measured: it uses a cell relaxed with PBE+U and a wavelength of 1.5418 Å.
Kinematic intensities with the Lorentz-polarization factor, no thermal factor.

Main lines, in order of rising 2θ (2θ = 5–70°):
- (0 0 1), 9.06 deg, intensity 37
- (0 2 0), 25.27 deg, intensity 29
- (1 2 -1), 31.18 deg, intensity 40
- (0 2 2), 31.32 deg, intensity 100
- (2 0 0), 31.52 deg, intensity 75
- (1 0 3), 31.92 deg, intensity 32
- (2 2 -2), 44.81 deg, intensity 15
- (0 2 4), 45.21 deg, intensity 27
- (0 4 0), 51.89 deg, intensity 18
- (3 0 -3), 55.82 deg, intensity 14

Structure:
```
data_K3MnPCO7
_symmetry_space_group_name_H-M 'P 1'
_symmetry_Int_Tables_number 1
_cell_length_a 5.6722
_cell_length_b 7.0480
_cell_length_c 9.7664
_cell_angle_alpha 90.00
_cell_angle_beta 90.94
_cell_angle_gamma 90.00
loop_
_symmetry_equiv_pos_as_xyz
'x,y,z'
loop_
_atom_site_label
_atom_site_type_symbol
_atom_site_fract_x
_atom_site_fract_y
_atom_site_fract_z
_atom_site_occupancy
K1 K 0.2379 0.2500 0.4213 1
K2 K 0.2586 0.5087 0.7693 1
K3 K 0.2586 0.9913 0.7693 1
K4 K 0.7414 0.0087 0.2307 1
K5 K 0.7414 0.4913 0.2307 1
K6 K 0.7621 0.7500 0.5787 1
Mn1 Mn 0.2251 0.7500 0.1362 1
Mn2 Mn 0.7749 0.2500 0.8638 1
P1 P 0.2852 0.2500 0.0775 1
P2 P 0.7148 0.7500 0.9225 1
C1 C 0.2584 0.7500 0.4178 1
C2 C 0.7416 0.2500 0.5822 1
O1 O 0.0561 0.7500 0.3519 1
O2 O 0.1243 0.2500 0.9473 1
O3 O 0.2391 0.0705 0.1671 1
O4 O 0.2391 0.4295 0.1671 1
O5 O 0.2672 0.7500 0.5507 1
O6 O 0.4505 0.7500 0.9664 1
O7 O 0.4508 0.7500 0.3463 1
O8 O 0.5492 0.2500 0.6537 1
O9 O 0.5495 0.2500 0.0336 1
O10 O 0.7328 0.2500 0.4493 1
O11 O 0.7609 0.5705 0.8329 1
O12 O 0.7609 0.9295 0.8329 1
O13 O 0.8757 0.7500 0.0527 1
O14 O 0.9439 0.2500 0.6481 1
```



Diffraction record for K2Mn3V2CO11. The XRD peak list is simulated, not measured: it uses a cell relaxed with PBE+U and a wavelength of 1.5418 Å.
Kinematic intensities with the Lorentz-polarization factor, no thermal factor.

Main lines, in order of rising 2θ (2θ = 5–70°):
- (0 0 2), 7.78 deg, intensity 62
- (0 0 4), 15.59 deg, intensity 36
- (1 0 0), 19.40 deg, intensity 26
- (1 0 5), 27.66 deg, intensity 33
- (1 0 6), 30.64 deg, intensity 97
- (1 1 0), 33.94 deg, intensity 100
- (2 0 6), 46.37 deg, intensity 37
- (1 2 6), 58.69 deg, intensity 30
- (1 1 12), 60.11 deg, intensity 38
- (3 0 0), 60.73 deg, intensity 32

Structure:
```
data_K2Mn3V2CO11
_symmetry_space_group_name_H-M 'P 1'
_symmetry_Int_Tables_number 1
_cell_length_a 5.2826
_cell_length_b 5.2826
_cell_length_c 22.7324
_cell_angle_alpha 90.00
_cell_angle_beta 90.00
_cell_angle_gamma 120.00
loop_
_symmetry_equiv_pos_as_xyz
'x,y,z'
loop_
_atom_site_label
_atom_site_type_symbol
_atom_site_fract_x
_atom_site_fract_y
_atom_site_fract_z
_atom_site_occupancy
K1 K 0.3333 0.6667 0.1578 1
K2 K 0.3333 0.6667 0.3422 1
K3 K 0.6667 0.3333 0.6578 1
K4 K 0.6667 0.3333 0.8422 1
Mn1 Mn 0.0000 0.0000 0.2500 1
Mn2 Mn 0.0000 0.0000 0.7500 1
Mn3 Mn 0.3333 0.6667 0.5046 1
Mn4 Mn 0.3333 0.6667 0.9954 1
Mn5 Mn 0.6667 0.3333 0.0046 1
Mn6 Mn 0.6667 0.3333 0.4954 1
V1 V 0.0000 0.0000 0.0798 1
V2 V 0.0000 0.0000 0.4202 1
V3 V 0.0000 0.0000 0.5798 1
V4 V 0.0000 0.0000 0.9202 1
C1 C 0.3333 0.6667 0.7500 1
C2 C 0.6667 0.3333 0.2500 1
O1 O 0.0000 0.0000 0.1556 1
O2 O 0.0000 0.0000 0.3444 1
O3 O 0.0000 0.0000 0.6556 1
O4 O 0.0000 0.0000 0.8444 1
O5 O 0.0107 0.6892 0.0548 1
O6 O 0.0107 0.6892 0.4452 1
O7 O 0.0689 0.4435 0.7500 1
O8 O 0.3108 0.3215 0.0548 1
O9 O 0.3108 0.3215 0.4452 1
O10 O 0.3215 0.0107 0.5548 1
O11 O 0.3215 0.0107 0.9452 1
O12 O 0.3746 0.9311 0.7500 1
O13 O 0.4435 0.3746 0.2500 1
O14 O 0.5565 0.6254 0.7500 1
O15 O 0.6254 0.0689 0.2500 1
O16 O 0.6785 0.9893 0.0548 1
O17 O 0.6785 0.9893 0.4452 1
O18 O 0.6892 0.6785 0.5548 1
O19 O 0.6892 0.6785 0.9452 1
O20 O 0.9311 0.5565 0.2500 1
O21 O 0.9893 0.3108 0.5548 1
O22 O 0.9893 0.3108 0.9452 1
```



Diffraction record for K4MoC4N4O8. The XRD peak list is simulated, not measured: it uses a cell relaxed with PBE+U and a wavelength of 1.5418 Å.
Kinematic intensities with the Lorentz-polarization factor, no thermal factor.

Main lines, in order of rising 2θ (2θ = 5–70°):
- (0 1 1), 12.13 deg, intensity 53
- (0 2 0), 12.89 deg, intensity 42
- (1 1 -1), 15.59 deg, intensity 52
- (1 2 0), 18.75 deg, intensity 73
- (1 1 1), 20.55 deg, intensity 88
- (0 3 1), 21.99 deg, intensity 81
- (0 1 3), 31.83 deg, intensity 53
- (2 3 -1), 32.58 deg, intensity 100
- (1 3 -3), 35.74 deg, intensity 63
- (1 4 2), 38.70 deg, intensity 51

Structure:
```
data_K4MoC4N4O8
_symmetry_space_group_name_H-M 'P 1'
_symmetry_Int_Tables_number 1
_cell_length_a 6.8842
_cell_length_b 13.7325
_cell_length_c 9.0854
_cell_angle_alpha 90.00
_cell_angle_beta 108.48
_cell_angle_gamma 90.00
loop_
_symmetry_equiv_pos_as_xyz
'x,y,z'
loop_
_atom_site_label
_atom_site_type_symbol
_atom_site_fract_x
_atom_site_fract_y
_atom_site_fract_z
_atom_site_occupancy
K1 K 0.0298 0.1494 0.3946 1
K2 K 0.0298 0.3506 0.8946 1
K3 K 0.3181 0.6231 0.8429 1
K4 K 0.3181 0.8769 0.3429 1
K5 K 0.6819 0.1231 0.6571 1
K6 K 0.6819 0.3769 0.1571 1
K7 K 0.9702 0.6494 0.1054 1
K8 K 0.9702 0.8506 0.6054 1
Mo1 Mo 0.5000 0.0000 0.0000 1
Mo2 Mo 0.5000 0.5000 0.5000 1
C1 C 0.3631 0.6457 0.5206 1
C2 C 0.3631 0.8543 0.0206 1
C3 C 0.3692 0.5088 0.2417 1
C4 C 0.3692 0.9912 0.7417 1
C5 C 0.6308 0.0088 0.2583 1
C6 C 0.6308 0.4912 0.7583 1
C7 C 0.6369 0.1457 0.9794 1
C8 C 0.6369 0.3543 0.4794 1
N1 N 0.2874 0.7195 0.5394 1
N2 N 0.2874 0.7805 0.0394 1
N3 N 0.3003 0.5100 0.1054 1
N4 N 0.3003 0.9900 0.6054 1
N5 N 0.6997 0.0100 0.3946 1
N6 N 0.6997 0.4900 0.8946 1
N7 N 0.7126 0.2195 0.9606 1
N8 N 0.7126 0.2805 0.4606 1
O1 O 0.1029 0.0279 0.1858 1
O2 O 0.1029 0.4721 0.6858 1
O3 O 0.1373 0.2057 0.7241 1
O4 O 0.1373 0.2943 0.2241 1
O5 O 0.2623 0.0570 0.0077 1
O6 O 0.2623 0.4430 0.5077 1
O7 O 0.2797 0.2452 0.6847 1
O8 O 0.2797 0.2548 0.1847 1
O9 O 0.7203 0.7452 0.8153 1
O10 O 0.7203 0.7548 0.3153 1
O11 O 0.7377 0.5570 0.4923 1
O12 O 0.7377 0.9430 0.9923 1
O13 O 0.8627 0.7057 0.7759 1
O14 O 0.8627 0.7943 0.2759 1
O15 O 0.8971 0.5279 0.3142 1
O16 O 0.8971 0.9721 0.8142 1
```



Diffraction record for K2MoC2O8. The XRD peak list is simulated, not measured: it uses a cell relaxed with PBE+U and a wavelength of 1.5418 Å.
Kinematic intensities with the Lorentz-polarization factor, no thermal factor.

Main lines, in order of rising 2θ (2θ = 5–70°):
- (1 0 0), 9.78 deg, intensity 100
- (0 2 0), 13.68 deg, intensity 48
- (1 2 0), 16.85 deg, intensity 43
- (2 0 0), 19.63 deg, intensity 16
- (0 1 2), 24.63 deg, intensity 41
- (1 1 -2), 25.86 deg, intensity 24
- (0 2 2), 27.40 deg, intensity 23
- (1 2 -2), 28.55 deg, intensity 23
- (3 1 0), 30.44 deg, intensity 17
- (3 2 0), 32.79 deg, intensity 23

Structure:
```
data_K2MoC2O8
_symmetry_space_group_name_H-M 'P 1'
_symmetry_Int_Tables_number 1
_cell_length_a 9.0714
_cell_length_b 12.9422
_cell_length_c 7.5579
_cell_angle_alpha 90.00
_cell_angle_beta 94.25
_cell_angle_gamma 90.00
loop_
_symmetry_equiv_pos_as_xyz
'x,y,z'
loop_
_atom_site_label
_atom_site_type_symbol
_atom_site_fract_x
_atom_site_fract_y
_atom_site_fract_z
_atom_site_occupancy
K1 K 0.0999 0.1329 0.1595 1
K2 K 0.0999 0.3671 0.6595 1
K3 K 0.3705 0.0147 0.7303 1
K4 K 0.3705 0.4853 0.2303 1
K5 K 0.6295 0.5147 0.7697 1
K6 K 0.6295 0.9853 0.2697 1
K7 K 0.9001 0.6329 0.3405 1
K8 K 0.9001 0.8671 0.8405 1
Mo1 Mo 0.4547 0.2340 0.4339 1
Mo2 Mo 0.4547 0.2660 0.9339 1
Mo3 Mo 0.5453 0.7340 0.0661 1
Mo4 Mo 0.5453 0.7660 0.5661 1
C1 C 0.2067 0.7481 0.5702 1
C2 C 0.2067 0.7519 0.0702 1
C3 C 0.2595 0.6364 0.5280 1
C4 C 0.2595 0.8636 0.0280 1
C5 C 0.7405 0.1364 0.9720 1
C6 C 0.7405 0.3636 0.4720 1
C7 C 0.7933 0.2481 0.9298 1
C8 C 0.7933 0.2519 0.4298 1
O1 O 0.0161 0.0298 0.5625 1
O2 O 0.0161 0.4702 0.0625 1
O3 O 0.0729 0.7344 0.0813 1
O4 O 0.0729 0.7656 0.5813 1
O5 O 0.1675 0.5659 0.4956 1
O6 O 0.1675 0.9341 0.9956 1
O7 O 0.2928 0.1899 0.9218 1
O8 O 0.2928 0.3101 0.4218 1
O9 O 0.3118 0.6844 0.0897 1
O10 O 0.3118 0.8156 0.5897 1
O11 O 0.3946 0.1080 0.3713 1
O12 O 0.3946 0.3920 0.8713 1
O13 O 0.4010 0.6255 0.5260 1
O14 O 0.4010 0.8745 0.0260 1
O15 O 0.4872 0.2176 0.6764 1
O16 O 0.4872 0.2824 0.1764 1
O17 O 0.5128 0.7176 0.8236 1
O18 O 0.5128 0.7824 0.3236 1
O19 O 0.5990 0.1255 0.9740 1
O20 O 0.5990 0.3745 0.4740 1
O21 O 0.6054 0.6080 0.1287 1
O22 O 0.6054 0.8920 0.6287 1
O23 O 0.6882 0.1844 0.4103 1
O24 O 0.6882 0.3156 0.9103 1
O25 O 0.7072 0.6899 0.5782 1
O26 O 0.7072 0.8101 0.0782 1
O27 O 0.8325 0.0659 0.0044 1
O28 O 0.8325 0.4341 0.5044 1
O29 O 0.9271 0.2344 0.4187 1
O30 O 0.9271 0.2656 0.9187 1
O31 O 0.9839 0.5298 0.9375 1
O32 O 0.9839 0.9702 0.4375 1
```



Diffraction record for K2MoC2O9. The XRD peak list is simulated, not measured: it uses a cell relaxed with PBE+U and a wavelength of 1.5418 Å.
Kinematic intensities with the Lorentz-polarization factor, no thermal factor.

Main lines, in order of rising 2θ (2θ = 5–70°):
- (1 0 0), 13.65 deg, intensity 30
- (1 0 -2), 14.06 deg, intensity 34
- (0 1 2), 16.05 deg, intensity 100
- (1 1 0), 16.84 deg, intensity 30
- (1 2 0), 24.04 deg, intensity 33
- (1 1 2), 24.49 deg, intensity 38
- (2 0 -2), 24.77 deg, intensity 95
- (1 1 -4), 25.18 deg, intensity 35
- (0 1 4), 27.39 deg, intensity 37
- (0 2 5), 37.89 deg, intensity 31

Structure:
```
data_K2MoC2O9
_symmetry_space_group_name_H-M 'P 1'
_symmetry_Int_Tables_number 1
_cell_length_a 7.1921
_cell_length_b 9.0151
_cell_length_c 15.4896
_cell_angle_alpha 90.00
_cell_angle_beta 115.61
_cell_angle_gamma 90.00
loop_
_symmetry_equiv_pos_as_xyz
'x,y,z'
loop_
_atom_site_label
_atom_site_type_symbol
_atom_site_fract_x
_atom_site_fract_y
_atom_site_fract_z
_atom_site_occupancy
K1 K 0.0136 0.0710 0.2729 1
K2 K 0.0136 0.4290 0.7729 1
K3 K 0.2874 0.1507 0.0242 1
K4 K 0.2874 0.3493 0.5242 1
K5 K 0.7126 0.6507 0.4758 1
K6 K 0.7126 0.8493 0.9758 1
K7 K 0.9864 0.5710 0.2271 1
K8 K 0.9864 0.9290 0.7271 1
Mo1 Mo 0.4080 0.7014 0.6677 1
Mo2 Mo 0.4080 0.7986 0.1677 1
Mo3 Mo 0.5920 0.2014 0.8323 1
Mo4 Mo 0.5920 0.2986 0.3323 1
C1 C 0.2040 0.7141 0.9545 1
C2 C 0.2040 0.7859 0.4545 1
C3 C 0.2523 0.5685 0.0151 1
C4 C 0.2523 0.9315 0.5151 1
C5 C 0.7477 0.0685 0.4849 1
C6 C 0.7477 0.4315 0.9849 1
C7 C 0.7960 0.2141 0.5455 1
C8 C 0.7960 0.2859 0.0455 1
O1 O 0.1091 0.6770 0.6372 1
O2 O 0.1091 0.8230 0.1372 1
O3 O 0.1132 0.7057 0.8658 1
O4 O 0.1132 0.7943 0.3658 1
O5 O 0.2137 0.0546 0.4762 1
O6 O 0.2137 0.4454 0.9762 1
O7 O 0.2248 0.5367 0.6653 1
O8 O 0.2248 0.9633 0.1653 1
O9 O 0.2667 0.6666 0.5048 1
O10 O 0.2667 0.8334 0.0048 1
O11 O 0.3354 0.5879 0.1080 1
O12 O 0.3354 0.9121 0.6080 1
O13 O 0.3405 0.2083 0.8563 1
O14 O 0.3405 0.2917 0.3563 1
O15 O 0.3836 0.0584 0.8315 1
O16 O 0.3836 0.4416 0.3315 1
O17 O 0.4954 0.2354 0.2158 1
O18 O 0.4954 0.2646 0.7158 1
O19 O 0.5046 0.7354 0.2842 1
O20 O 0.5046 0.7646 0.7842 1
O21 O 0.6164 0.5584 0.6685 1
O22 O 0.6164 0.9416 0.1685 1
O23 O 0.6595 0.7083 0.6437 1
O24 O 0.6595 0.7917 0.1437 1
O25 O 0.6646 0.0879 0.3920 1
O26 O 0.6646 0.4121 0.8920 1
O27 O 0.7333 0.1666 0.9952 1
O28 O 0.7333 0.3334 0.4952 1
O29 O 0.7752 0.0367 0.8347 1
O30 O 0.7752 0.4633 0.3347 1
O31 O 0.7863 0.5546 0.0238 1
O32 O 0.7863 0.9454 0.5238 1
O33 O 0.8868 0.2057 0.6342 1
O34 O 0.8868 0.2943 0.1342 1
O35 O 0.8909 0.1770 0.8628 1
O36 O 0.8909 0.3230 0.3628 1
```



Diffraction record for K3VC5N5O. The XRD peak list is simulated, not measured: it uses a cell relaxed with PBE+U and a wavelength of 1.5418 Å.
Kinematic intensities with the Lorentz-polarization factor, no thermal factor.

Main lines, in order of rising 2θ (2θ = 5–70°):
- (1 2 0), 21.66 deg, intensity 31
- (2 0 2), 22.26 deg, intensity 100
- (3 2 0), 28.63 deg, intensity 92
- (3 2 1), 30.05 deg, intensity 96
- (2 0 3), 30.15 deg, intensity 30
- (3 2 2), 33.99 deg, intensity 22
- (1 2 3), 34.91 deg, intensity 52
- (0 4 0), 41.95 deg, intensity 26
- (5 2 2), 43.48 deg, intensity 30
- (6 0 2), 44.06 deg, intensity 20

Structure:
```
data_K3VC5N5O
_symmetry_space_group_name_H-M 'P 1'
_symmetry_Int_Tables_number 1
_cell_length_a 13.5593
_cell_length_b 8.6147
_cell_length_c 9.8874
_cell_angle_alpha 90.00
_cell_angle_beta 90.00
_cell_angle_gamma 90.00
loop_
_symmetry_equiv_pos_as_xyz
'x,y,z'
loop_
_atom_site_label
_atom_site_type_symbol
_atom_site_fract_x
_atom_site_fract_y
_atom_site_fract_z
_atom_site_occupancy
K1 K 0.0097 0.1349 0.0000 1
K2 K 0.0210 0.6303 0.9749 1
K3 K 0.2476 0.3754 0.2584 1
K4 K 0.2524 0.8754 0.7584 1
K5 K 0.4790 0.1303 0.4749 1
K6 K 0.4903 0.6349 0.5000 1
K7 K 0.5097 0.3651 0.0000 1
K8 K 0.5210 0.8697 0.9749 1
K9 K 0.7476 0.1246 0.2584 1
K10 K 0.7524 0.6246 0.7584 1
K11 K 0.9790 0.3697 0.4749 1
K12 K 0.9903 0.8651 0.5000 1
V1 V 0.2254 0.8728 0.1780 1
V2 V 0.2746 0.3728 0.6780 1
V3 V 0.7254 0.6272 0.1780 1
V4 V 0.7746 0.1272 0.6780 1
C1 C 0.1350 0.7012 0.2709 1
C2 C 0.1356 0.0468 0.2700 1
C3 C 0.1625 0.5459 0.6624 1
C4 C 0.1628 0.1997 0.6563 1
C5 C 0.2061 0.3704 0.8890 1
C6 C 0.2939 0.8704 0.3890 1
C7 C 0.3372 0.6997 0.1563 1
C8 C 0.3375 0.0459 0.1624 1
C9 C 0.3644 0.5468 0.7700 1
C10 C 0.3650 0.2012 0.7709 1
C11 C 0.6350 0.7988 0.2709 1
C12 C 0.6356 0.4532 0.2700 1
C13 C 0.6625 0.9541 0.6624 1
C14 C 0.6628 0.3003 0.6563 1
C15 C 0.7061 0.1296 0.8890 1
C16 C 0.7939 0.6296 0.3890 1
C17 C 0.8372 0.8003 0.1563 1
C18 C 0.8375 0.4541 0.1624 1
C19 C 0.8644 0.9532 0.7700 1
C20 C 0.8650 0.2988 0.7709 1
N1 N 0.0854 0.6035 0.3183 1
N2 N 0.0857 0.1450 0.3161 1
N3 N 0.1034 0.1015 0.6449 1
N4 N 0.1028 0.6444 0.6580 1
N5 N 0.1650 0.3698 0.9937 1
N6 N 0.3350 0.8698 0.4937 1
N7 N 0.3972 0.1444 0.1580 1
N8 N 0.3966 0.6015 0.1449 1
N9 N 0.4143 0.6450 0.8161 1
N10 N 0.4146 0.1035 0.8183 1
N11 N 0.5854 0.8965 0.3183 1
N12 N 0.5857 0.3550 0.3161 1
N13 N 0.6034 0.3985 0.6449 1
N14 N 0.6028 0.8556 0.6580 1
N15 N 0.6650 0.1302 0.9937 1
N16 N 0.8350 0.6302 0.4937 1
N17 N 0.8972 0.3556 0.1580 1
N18 N 0.8966 0.8985 0.1449 1
N19 N 0.9143 0.8550 0.8161 1
N20 N 0.9146 0.3965 0.8183 1
O1 O 0.1743 0.8697 0.0232 1
O2 O 0.3257 0.3697 0.5232 1
O3 O 0.6743 0.6303 0.0232 1
O4 O 0.8257 0.1303 0.5232 1
```



Diffraction record for K2NiC2O10. The XRD peak list is simulated, not measured: it uses a cell relaxed with PBE+U and a wavelength of 1.5418 Å.
Kinematic intensities with the Lorentz-polarization factor, no thermal factor.

Main lines, in order of rising 2θ (2θ = 5–70°):
- (1 0 0), 13.66 deg, intensity 100
- (1 0 -2), 17.33 deg, intensity 54
- (1 1 -1), 19.40 deg, intensity 68
- (0 1 2), 21.99 deg, intensity 45
- (1 1 1), 23.35 deg, intensity 33
- (0 1 3), 29.02 deg, intensity 34
- (2 1 -1), 29.43 deg, intensity 55
- (0 2 1), 29.84 deg, intensity 33
- (0 1 4), 36.82 deg, intensity 30
- (2 1 -5), 44.15 deg, intensity 30

Structure:
```
data_K2NiC2O10
_symmetry_space_group_name_H-M 'P 1'
_symmetry_Int_Tables_number 1
_cell_length_a 6.9614
_cell_length_b 6.2416
_cell_length_c 11.3879
_cell_angle_alpha 90.00
_cell_angle_beta 111.33
_cell_angle_gamma 90.00
loop_
_symmetry_equiv_pos_as_xyz
'x,y,z'
loop_
_atom_site_label
_atom_site_type_symbol
_atom_site_fract_x
_atom_site_fract_y
_atom_site_fract_z
_atom_site_occupancy
K1 K 0.2220 0.1594 0.1602 1
K2 K 0.2220 0.3406 0.6602 1
K3 K 0.7780 0.6594 0.3398 1
K4 K 0.7780 0.8406 0.8398 1
Ni1 Ni 0.5000 0.0000 0.5000 1
Ni2 Ni 0.5000 0.5000 0.0000 1
C1 C 0.2725 0.6723 0.3345 1
C2 C 0.2725 0.8277 0.8345 1
C3 C 0.7275 0.1723 0.1655 1
C4 C 0.7275 0.3277 0.6655 1
O1 O 0.1624 0.5528 0.2511 1
O2 O 0.1624 0.9472 0.7511 1
O3 O 0.2454 0.6390 0.4530 1
O4 O 0.2454 0.8610 0.9530 1
O5 O 0.2852 0.1679 0.4343 1
O6 O 0.2852 0.3321 0.9343 1
O7 O 0.3782 0.7386 0.0564 1
O8 O 0.3782 0.7614 0.5564 1
O9 O 0.4014 0.6836 0.8343 1
O10 O 0.4014 0.8164 0.3343 1
O11 O 0.5986 0.1836 0.6657 1
O12 O 0.5986 0.3164 0.1657 1
O13 O 0.6218 0.2386 0.4436 1
O14 O 0.6218 0.2614 0.9436 1
O15 O 0.7148 0.6679 0.0657 1
O16 O 0.7148 0.8321 0.5657 1
O17 O 0.7546 0.1390 0.0470 1
O18 O 0.7546 0.3610 0.5470 1
O19 O 0.8376 0.0528 0.2489 1
O20 O 0.8376 0.4472 0.7489 1
```